# 1
This entry pairs a crystal structure of Ta2Ni3Te5 with its theoretical powder diffraction line list. Radiation: Cu Kα, 1.54184 Å. Structure: a structure optimized by DFT (GGA-PBE).

Largest 12 diffraction maxima, in order of falling intensity, 2θ = 10–90°:
hkl  two_theta  intensity
2 0 0  12.38  1000
2 0 5  28.00  355
3 1 3  34.07  337
4 1 3  38.04  263
0 1 7  43.06  234
3 1 1  30.87  222
2 1 2  28.82  206
0 2 0  48.88  203
6 0 5  45.83  167
4 1 5  43.32  159
5 1 3  42.67  154
3 0 8  44.97  140

Cell and atoms:
a = 14.2949 Å, b = 3.7269 Å, c = 17.8016 Å
α = 90.00°, β = 90.00°, γ = 90.00°
Space group Pnma (No. 62)
Asymmetric unit:
Ta 0.2420 0.2500 0.1672 [4 per cell]
Ta 0.2440 0.2500 0.9111 [4 per cell]
Ni 0.1959 0.2500 0.3108 [4 per cell]
Ni 0.2005 0.2500 0.7676 [4 per cell]
Ni 0.2436 0.2500 0.5389 [4 per cell]
Te 0.1115 0.7500 0.2359 [4 per cell]
Te 0.1136 0.2500 0.4409 [4 per cell]
Te 0.1145 0.7500 0.8416 [4 per cell]
Te 0.1158 0.2500 0.6386 [4 per cell]
Te 0.1320 0.2500 0.0386 [4 per cell]



# 2
This entry pairs a crystal structure of ErAlFe with its theoretical powder diffraction line list. Radiation: Cu Kα, 1.54184 Å. Structure: a structure optimized by DFT (GGA-PBE).

Largest 12 diffraction maxima, in order of falling intensity, 2θ = 10–90°:
hkl  two_theta  intensity
3 0 2  37.06  1000
2 1 3  39.58  752
0 1 3  33.27  730
2 2 0  39.69  451
3 2 4  61.95  318
2 0 0  20.84  314
0 2 0  33.38  301
5 2 2  68.16  278
1 2 2  40.17  265
1 1 1  21.75  248
0 1 1  19.05  235
5 1 1  57.57  207

Cell and atoms:
a = 8.5235 Å, b = 5.3679 Å, c = 9.3404 Å
α = 90.00°, β = 90.00°, γ = 90.00°
Space group Amm2 (No. 38)
Asymmetric unit:
Er 0.1845 0.0000 0.0000 [4 per cell]
Er 0.3006 0.0000 0.6701 [4 per cell]
Al 0.0000 0.0000 0.4974 [2 per cell]
Al 0.5000 0.0000 0.1704 [2 per cell]
Al 0.5000 0.2437 0.4151 [4 per cell]
Fe 0.0000 0.2461 0.2551 [4 per cell]
Fe 0.2378 0.0000 0.3277 [4 per cell]



# 3
This entry pairs a crystal structure of ReTcPb2O6 with its theoretical powder diffraction line list. Radiation: Cu Kα, 1.54184 Å. Structure: a structure optimized by DFT (GGA-PBE).

Largest 12 diffraction maxima, in order of falling intensity, 2θ = 10–90°:
hkl  two_theta  intensity
2 2 0  31.49  1000
4 2 2  56.06  408
4 0 0  45.13  266
6 2 0  74.70  180
4 4 0  65.73  169
4 4 4  83.31  59
2 2 2  38.82  44
1 1 1  19.13  36
3 1 1  37.10  20
2 0 0  22.12  19
6 2 2  79.04  15
4 2 0  50.81  13

Cell and atoms:
a = 8.0364 Å, b = 8.0364 Å, c = 8.0364 Å
α = 90.00°, β = 90.00°, γ = 90.00°
Space group Fm-3m (No. 225)
Asymmetric unit:
Re 0.0000 0.0000 0.0000 [4 per cell]
Tc 0.0000 0.0000 0.5000 [4 per cell]
Pb 0.2500 0.2500 0.2500 [8 per cell]
O 0.0000 0.0000 0.2461 [24 per cell]